Calculated powder XRD pattern
Compound: LiV2O3F3
Radiation: CuKα
Structure: a crystal structure in Alexandria, relaxed with PBE+U
Peak positions follow from Bragg's law for the DFT cell and can differ from measured ones.

Most intense lines, 2θ = 10–80°, by intensity:
two_theta	intensity	index
23.37	100	1 0 2
24.85	99	1 1 -2
23.54	98	0 1 2
39.77	24	1 2 3
32.53	22	1 1 4
47.80	22	2 0 4
33.37	21	0 1 -4
33.87	20	1 0 -4
48.14	20	0 2 4
55.42	18	1 2 -6

Structural model:
Cell: 5.086 5.120 13.558 Å, 87.66 86.79 61.70°
Sites, in units of the cell vectors:
Li  0.000  0.000  0.000
Li  0.293  0.367  0.333
Li  0.656  0.685  0.668
V  0.008  0.010  0.790
V  0.359  0.313  0.615
V  0.375  0.301  0.124
V  0.645  0.703  0.457
V  0.716  0.622  0.948
V  0.964  0.023  0.284
O  0.066  0.243  0.208
O  0.273  0.056  0.706
O  0.426  0.612  0.544
O  0.595  0.025  0.541
O  0.615  0.385  0.038
O  0.632  0.078  0.211
O  0.784  0.922  0.878
O  0.924  0.735  0.372
O  0.954  0.334  0.874
F  0.005  0.619  0.044
F  0.040  0.669  0.702
F  0.265  0.656  0.210
F  0.303  0.988  0.378
F  0.353  0.730  0.876
F  0.384  0.996  0.035
F  0.657  0.306  0.709
F  0.672  0.357  0.370
F  0.995  0.419  0.544